[1]
For LaPu2Pb3, DFT lattice parameters and positions (GGA-PBE) gives the simulated PXRD pattern in this record (Cu Kα X-rays).
Lines closer than 0.1° are merged.

Structural model:
Cell: 3.519 3.519 14.073 Å, 90.00 90.00 90.00°
Positions (direct):
La  0.000  0.000  0.000
Pu  0.000  0.000  0.336
Pu  0.000  0.000  0.664
Pb  0.500  0.500  0.173
Pb  0.500  0.500  0.500
Pb  0.500  0.500  0.827

Main lines, low angle first (2θ = 10–90°):
2θ = 31.79°, rel. 100, hkl 1 0 3
2θ = 36.09°, rel. 38, hkl 1 1 0
2θ = 38.38°, rel. 15, hkl 0 0 6
2θ = 51.97°, rel. 13, hkl 2 0 0
2θ = 53.70°, rel. 23, hkl 1 1 6
2θ = 62.22°, rel. 30, hkl 2 1 3
2θ = 65.30°, rel. 13, hkl 1 0 9
2θ = 66.42°, rel. 12, hkl 2 0 6
2θ = 85.28°, rel. 7, hkl 3 0 3
2θ = 88.05°, rel. 12, hkl 2 1 9

---

[2]
For RbLaPb, DFT lattice parameters and positions (GGA-PBE) gives the simulated PXRD pattern in this record (Cu Kα X-rays).
Lines closer than 0.1° are merged.

Structural model:
Cell: 5.716 5.716 8.694 Å, 90.00 90.00 90.00°
Positions (direct):
Rb  0.250  0.250  0.124
Rb  0.750  0.750  0.876
La  0.250  0.750  0.500
La  0.750  0.250  0.500
Pb  0.250  0.250  0.692
Pb  0.750  0.750  0.308

Main lines, low angle first (2θ = 10–90°):
2θ = 10.17°, rel. 79, hkl 0 0 1
2θ = 18.58°, rel. 62, hkl 1 0 1
2θ = 24.29°, rel. 33, hkl 1 1 1
2θ = 25.75°, rel. 89, hkl 1 0 2
2θ = 30.19°, rel. 99, hkl 1 1 2
2θ = 31.30°, rel. 100, hkl 2 0 0
2θ = 38.21°, rel. 43, hkl 1 1 3
2θ = 40.96°, rel. 53, hkl 2 1 2
2θ = 44.85°, rel. 37, hkl 2 2 0
2θ = 55.02°, rel. 37, hkl 3 1 2